No. 1
The following is a theoretical PXRD pattern of Ca3Cr2N4. It was derived from a cell relaxed with PBE, using Cu Kα (λ = 1.5418 Å).
Kinematic intensities with the Lorentz-polarization factor, no thermal factor.

The 12 most intense peaks (10 to 90 degrees two-theta), sorted by position:
- 18.6 deg, rel. 54
- 19.5 deg, rel. 24
- 29.4 deg, rel. 39
- 33.3 deg, rel. 31
- 33.6 deg, rel. 100
- 34.8 deg, rel. 17
- 34.9 deg, rel. 46
- 37.8 deg, rel. 45
- 38.5 deg, rel. 31
- 42.0 deg, rel. 21
- 42.4 deg, rel. 21
- 51.0 deg, rel. 35

Cell: 5.5993 9.6546 9.0976 Å, 90.00 90.00 90.00°
Space group Pnna (No. 52)
Unique sites:
Ca 0.1187 0.1558 0.0816
Ca 0.2500 0.0000 0.4020
Cr 0.1528 0.2500 0.7500
Cr 0.2500 0.0000 0.7348
N 0.0070 0.0883 0.8372
N 0.1320 0.6485 0.8755

=====

No. 2
The following is a theoretical PXRD pattern of BaNaCeSbO6. It was derived from a cell relaxed with PBE, using Cu Kα (λ = 1.5418 Å).
Kinematic intensities with the Lorentz-polarization factor, no thermal factor.

The 12 most intense peaks (10 to 90 degrees two-theta), sorted by position:
- 14.8 deg, rel. 14
- 21.0 deg, rel. 16
- 25.8 deg, rel. 7
- 29.9 deg, rel. 100
- 42.7 deg, rel. 21
- 42.8 deg, rel. 11
- 53.0 deg, rel. 41
- 62.1 deg, rel. 19
- 70.5 deg, rel. 12
- 78.3 deg, rel. 6
- 86.0 deg, rel. 11
- 86.1 deg, rel. 11

Cell: 8.4474 8.4562 8.4699 Å, 90.00 90.00 90.00°
Space group Pnnn (No. 48, origin choice 2)
Unique sites:
Ba 0.2500 0.2500 0.2500
Ba 0.2500 0.7500 0.2500
Na 0.2500 0.2500 0.7500
Na 0.2500 0.7500 0.7500
Ce 0.0000 0.0000 0.0000
Sb 0.0000 0.0000 0.5000
O 0.0105 0.0191 0.7374
O 0.0178 0.7367 0.9815
O 0.2375 0.0145 0.4798

=====

No. 3
The following is a theoretical PXRD pattern of Ti5S8. It was derived from a cell relaxed with PBE, using Cu Kα (λ = 1.5418 Å).
Kinematic intensities with the Lorentz-polarization factor, no thermal factor.

The 12 most intense peaks (10 to 90 degrees two-theta), sorted by position:
- 15.2 deg, rel. 59
- 16.8 deg, rel. 22
- 30.1 deg, rel. 16
- 33.8 deg, rel. 55
- 34.0 deg, rel. 100
- 43.3 deg, rel. 25
- 43.4 deg, rel. 45
- 43.7 deg, rel. 45
- 43.8 deg, rel. 23
- 53.5 deg, rel. 64
- 56.5 deg, rel. 21
- 64.8 deg, rel. 12

Cell: 11.6601 6.8512 8.2672 Å, 90.00 134.20 90.00°
Space group C2/m (No. 12)
Unique sites:
Ti 0.0000 0.0000 0.0000
Ti 0.0000 0.2636 0.5000
Ti 0.2454 0.5000 0.9901
S 0.0365 0.0000 0.3306
S 0.0399 0.5000 0.3316
S 0.2080 0.2499 0.1700

=====

No. 4
The following is a theoretical PXRD pattern of TbErHg2. It was derived from a cell relaxed with PBE, using Cu Kα (λ = 1.5418 Å).
Kinematic intensities with the Lorentz-polarization factor, no thermal factor.

The 7 most intense peaks (10 to 90 degrees two-theta), sorted by position:
- 23.9 deg, rel. 1
- 34.0 deg, rel. 100
- 48.9 deg, rel. 18
- 55.1 deg, rel. 1
- 60.9 deg, rel. 38
- 71.7 deg, rel. 12
- 81.8 deg, rel. 17

Cell: 7.4485 7.4485 7.4485 Å, 90.00 90.00 90.00°
Space group Fm-3m (No. 225)
Unique sites:
Tb 0.0000 0.0000 0.0000
Er 0.0000 0.0000 0.5000
Hg 0.2500 0.2500 0.2500

=====

No. 5
The following is a theoretical PXRD pattern of SrBiAu. It was derived from a cell relaxed with PBE, using Cu Kα (λ = 1.5418 Å).
Kinematic intensities with the Lorentz-polarization factor, no thermal factor.

The 12 most intense peaks (10 to 90 degrees two-theta), sorted by position:
- 22.9 deg, rel. 20
- 32.4 deg, rel. 100
- 32.8 deg, rel. 95
- 46.7 deg, rel. 36
- 55.2 deg, rel. 7
- 57.8 deg, rel. 20
- 58.0 deg, rel. 38
- 65.4 deg, rel. 27
- 67.8 deg, rel. 12
- 77.3 deg, rel. 17
- 84.0 deg, rel. 14
- 86.4 deg, rel. 7

Cell: 5.5299 5.5299 6.6583 Å, 90.00 90.00 120.00°
Space group P6_3/mmc (No. 194)
Unique sites:
Sr 0.3333 0.6667 0.2500
Bi 0.3333 0.6667 0.7500
Au 0.0000 0.0000 0.0000

=====

No. 6
The following is a theoretical PXRD pattern of Hf4N3. It was derived from a cell relaxed with PBE, using Cu Kα (λ = 1.5418 Å).
Kinematic intensities with the Lorentz-polarization factor, no thermal factor.

The 12 most intense peaks (10 to 90 degrees two-theta), sorted by position:
- 32.8 deg, rel. 27
- 33.9 deg, rel. 49
- 35.4 deg, rel. 100
- 38.1 deg, rel. 89
- 43.4 deg, rel. 19
- 52.2 deg, rel. 11
- 57.7 deg, rel. 41
- 59.8 deg, rel. 24
- 65.3 deg, rel. 17
- 68.6 deg, rel. 40
- 69.5 deg, rel. 14
- 71.2 deg, rel. 14

Cell: 3.1961 3.1961 31.6972 Å, 90.00 90.00 120.00°
Space group R3m (No. 160, hexagonal axes)
Unique sites:
Hf 0.0000 0.0000 0.0000
Hf 0.0000 0.0000 0.1654
Hf 0.0000 0.0000 0.4162
Hf 0.0000 0.0000 0.5847
N 0.0000 0.0000 0.2903
N 0.0000 0.0000 0.7892
N 0.0000 0.0000 0.8765